Entry 1:
Calculated PXRD pattern of KRb3Cu2As2 for Cu Kα, from a cell relaxed with GGA-PBE.
Lines closer than 0.1° are merged.

Principal peaks in the range 2θ from 15° to 90°, by intensity:
hkl  d_spacing  Rel. int.
1 1 -2  2.837  100
2 1 -1  2.825  95
1 1 1  3.248  87
1 2 1  2.404  61
1 2 0  2.768  60
2 0 -1  3.175  48
1 3 -2  1.732  44
1 0 -2  3.191  41
0 2 0  3.097  39
0 2 3  1.718  32

Structure:
a b c (Å): 6.471 6.194 6.513
angles (deg): 90.00 108.02 90.00
Fractional positions:
K1 0.000 0.000 0.000
Rb1 0.309 0.500 0.313
Rb2 0.340 0.000 0.669
Rb3 0.648 0.500 0.979
Cu1 0.825 0.249 0.495
Cu2 0.825 0.751 0.495
As1 0.056 0.500 0.728
As2 0.600 0.000 0.255



Entry 2:
Calculated PXRD pattern of LaPrCu2As4 for Cu Kα, from a cell relaxed with GGA-PBE.
Lines closer than 0.1° are merged.

Principal peaks in the range 2θ from 15° to 90°, by intensity:
hkl  d_spacing  Rel. int.
1 1 2  2.480  100
2 0 0  2.003  37
1 0 3  2.603  33
3 1 2  1.230  21
1 0 1  3.732  19
1 0 5  1.828  19
1 0 2  3.159  18
2 1 3  1.587  15
0 0 4  2.568  14
2 1 5  1.350  14

Structure:
a b c (Å): 4.006 4.006 10.271
angles (deg): 90.00 90.00 90.00
Fractional positions:
La1 0.000 0.000 0.000
Pr1 0.500 0.500 0.479
Cu1 0.000 0.500 0.739
Cu2 0.500 0.000 0.739
As1 0.000 0.000 0.592
As2 0.000 0.500 0.242
As3 0.500 0.000 0.242
As4 0.500 0.500 0.886